Diffraction record for VS2IF. The X-ray powder pattern is computed, not measured: it uses DFT lattice parameters and positions (GGA+U) and copper Kα.
Peak positions follow from Bragg's law for the DFT cell and can differ from measured ones.

Cell and atoms:
a b c (Å): 5.004 5.004 5.575
angles (deg): 90.00 90.00 90.00
Positions (direct):
V 0.000 0.000 0.000
S 0.000 0.500 0.500
S 0.500 0.000 0.500
I 0.000 0.000 0.500
F 0.500 0.500 0.000

Principal peaks in the range 2θ = 10–80°, by angle:
- hkl 0 0 1, 15.90 deg, d = 5.575 Å, I = 41
- hkl 1 0 0, 17.73 deg, d = 5.004 Å, I = 100
- hkl 1 0 1, 23.90 deg, d = 3.724 Å, I = 36
- hkl 1 1 0, 25.17 deg, d = 3.538 Å, I = 29
- hkl 0 0 2, 32.11 deg, d = 2.787 Å, I = 32
- hkl 2 0 0, 35.89 deg, d = 2.502 Å, I = 47
- hkl 1 0 2, 36.92 deg, d = 2.435 Å, I = 31
- hkl 2 1 0, 40.30 deg, d = 2.238 Å, I = 24
- hkl 2 0 2, 48.92 deg, d = 1.862 Å, I = 36
- hkl 2 1 2, 52.45 deg, d = 1.744 Å, I = 26